(1)
Simulated powder diffractogram
Compound: PmGdP2
Radiation: copper Kα
Structure: a structure optimized by DFT (PBE)

Cell and atoms:
```
4
Lattice="2.0476 1.1822 6.6786 -2.0476 1.1822 6.6786 0.0000 -2.3643 6.6786" Properties=species:S:1:pos:R:3 pbc="T T T"
Pm 0.0000 0.0000 0.0000
Gd 0.0000 0.0000 10.0179
P 0.0000 0.0000 4.9733
P 0.0000 0.0000 15.0625
```

Top 8 peaks for 10° ≤ 2θ ≤ 80°, by angle:
2theta, Rel. int.
26.67, 83
30.89, 100
44.25, 73
52.42, 41
54.94, 26
64.37, 12
70.97, 16
73.11, 33


(2)
Simulated powder diffractogram
Compound: Gd5P12Ru19
Radiation: copper Kα
Structure: a structure optimized by DFT (PBE)

Cell and atoms:
```
36
Lattice="12.5624 0.0000 0.0000 -6.2812 10.8794 0.0000 0.0000 0.0000 3.9887" Properties=species:S:1:pos:R:3 pbc="T T T"
Gd -1.1511 1.9938 0.0000
Gd 2.3022 0.0000 0.0000
Gd 0.0000 7.2529 1.9943
Gd 6.2812 3.6264 1.9943
Gd 5.1301 8.8856 0.0000
P -2.3464 4.0641 1.9943
P -5.1171 8.8631 1.9943
P -2.2075 7.5524 0.0000
P 1.1641 2.0163 1.9943
P 0.8444 5.1914 0.0000
P 4.6928 0.0000 1.9943
P 4.0737 3.3270 0.0000
P 1.3631 9.0149 0.0000
P 3.9348 6.8152 1.9943
P 7.6443 1.8644 0.0000
P 10.2342 0.0000 1.9943
P 7.1256 5.6879 0.0000
Ru 0.0000 0.0000 1.9943
Ru -3.4844 6.0352 1.9943
Ru -4.4995 7.7934 0.0000
Ru -1.5137 5.3516 0.0000
Ru -2.7499 8.7857 1.9943
Ru 0.0475 4.1050 1.9943
Ru 1.7816 3.0859 0.0000
Ru -0.8897 9.5144 0.0000
Ru 3.5313 2.0937 1.9943
Ru 2.7968 4.8441 1.9943
Ru 5.3915 1.3649 0.0000
Ru 2.4034 6.8926 0.0000
Ru 6.9689 0.0000 1.9943
Ru 2.7024 8.8680 1.9943
Ru 4.7675 5.5277 0.0000
Ru 8.9991 0.0000 0.0000
Ru 8.9835 2.0113 1.9943
Ru 6.3287 6.7743 1.9943
Ru 8.6846 3.9867 0.0000
```

Top 10 peaks for 10° ≤ 2θ ≤ 80°, by angle:
2theta, Rel. int.
28.42, 17
36.41, 100
37.37, 26
37.90, 12
45.48, 23
46.47, 9
50.32, 14
69.34, 8
70.15, 10
78.05, 11